RbAu13: computed powder X-ray diffraction pattern (Cu Kα, 1.54184 Å), based on a structure optimized by DFT (GGA-PBE).
Intensities are scaled so that the largest is 1000.

Principal peaks in the range 10° ≤ 2θ ≤ 90°, low angle first:
two_theta, intensity
13.31, 288
32.98, 412
40.10, 1000
40.69, 420
63.73, 170
69.19, 95
70.82, 96
76.84, 165
83.09, 95
85.03, 91

Structure:
a = 9.407 Å, b = 9.407 Å, c = 9.407 Å
α = 60.00°, β = 60.00°, γ = 60.00°
Fractional coordinates of all 28 atoms:
Rb1 0.250 0.250 0.250
Rb2 0.750 0.750 0.750
Au1 0.000 0.000 0.000
Au2 0.063 0.301 0.699
Au3 0.063 0.699 0.937
Au4 0.063 0.937 0.301
Au5 0.199 0.437 0.801
Au6 0.199 0.563 0.437
Au7 0.199 0.801 0.563
Au8 0.301 0.063 0.937
Au9 0.301 0.699 0.063
Au10 0.301 0.937 0.699
Au11 0.437 0.199 0.563
Au12 0.437 0.563 0.801
Au13 0.437 0.801 0.199
Au14 0.500 0.500 0.500
Au15 0.563 0.199 0.801
Au16 0.563 0.437 0.199
Au17 0.563 0.801 0.437
Au18 0.699 0.063 0.301
Au19 0.699 0.301 0.937
Au20 0.699 0.937 0.063
Au21 0.801 0.199 0.437
Au22 0.801 0.437 0.563
Au23 0.801 0.563 0.199
Au24 0.937 0.063 0.699
Au25 0.937 0.301 0.063
Au26 0.937 0.699 0.301